(1)
For Li2IrOsO6, a structure optimized by DFT (PBE) gives the theoretical PXRD pattern in this record (Cu Kα (λ = 1.5418 Å)).
Neutral-atom scattering factors, no anomalous dispersion.

Structure:
Unit cell a=5.580 b=5.580 c=3.813 alpha=90.00 beta=90.00 gamma=90.00
Fractional coordinates of all 10 atoms:
Li  0.000  0.500  0.000
Li  0.500  0.000  0.000
Ir  0.000  0.000  0.809
Os  0.500  0.500  0.805
O  0.000  0.000  0.316
O  0.253  0.253  0.853
O  0.253  0.747  0.853
O  0.500  0.500  0.320
O  0.747  0.253  0.853
O  0.747  0.747  0.853

Most intense lines, 10 to 90 degrees two-theta, in order of rising 2θ:
22.53°, d 3.946, rel. 100; 23.33°, d 3.813, rel. 49; 32.08°, d 2.790, rel. 32; 32.66°, d 2.742, rel. 56; 40.05°, d 2.252, rel. 23; 46.00°, d 1.973, rel. 22; 52.20°, d 1.752, rel. 22; 57.55°, d 1.601, rel. 24


(2)
For Li3AgSb2, a structure optimized by DFT (PBE) gives the theoretical PXRD pattern in this record (Cu Kα (λ = 1.5418 Å)).
Neutral-atom scattering factors, no anomalous dispersion.

Structure:
Unit cell a=8.241 b=8.241 c=8.241 alpha=138.64 beta=60.40 gamma=138.02
Fractional coordinates of all 12 atoms:
Li  0.164  0.736  0.900
Li  0.250  0.250  0.000
Li  0.336  0.236  0.572
Li  0.664  0.764  0.428
Li  0.750  0.750  0.000
Li  0.836  0.264  0.100
Ag  0.250  0.750  0.500
Ag  0.750  0.250  0.500
Sb  0.137  0.240  0.377
Sb  0.363  0.740  0.103
Sb  0.637  0.260  0.897
Sb  0.863  0.760  0.623

Most intense lines, 10 to 90 degrees two-theta, in order of rising 2θ:
16.45°, d 5.388, rel. 24; 24.19°, d 3.679, rel. 15; 24.85°, d 3.582, rel. 100; 33.23°, d 2.696, rel. 15; 39.66°, d 2.273, rel. 34; 40.01°, d 2.254, rel. 33; 43.68°, d 2.072, rel. 28; 43.95°, d 2.060, rel. 19


Copy entry 1 word for word.
For Li2IrOsO6, a structure optimized by DFT (PBE) gives the theoretical PXRD pattern in this record (Cu Kα (λ = 1.5418 Å)).
Neutral-atom scattering factors, no anomalous dispersion.

Structure:
Unit cell a=5.580 b=5.580 c=3.813 alpha=90.00 beta=90.00 gamma=90.00
Fractional coordinates of all 10 atoms:
Li  0.000  0.500  0.000
Li  0.500  0.000  0.000
Ir  0.000  0.000  0.809
Os  0.500  0.500  0.805
O  0.000  0.000  0.316
O  0.253  0.253  0.853
O  0.253  0.747  0.853
O  0.500  0.500  0.320
O  0.747  0.253  0.853
O  0.747  0.747  0.853

Most intense lines, 10 to 90 degrees two-theta, in order of rising 2θ:
22.53°, d 3.946, rel. 100; 23.33°, d 3.813, rel. 49; 32.08°, d 2.790, rel. 32; 32.66°, d 2.742, rel. 56; 40.05°, d 2.252, rel. 23; 46.00°, d 1.973, rel. 22; 52.20°, d 1.752, rel. 22; 57.55°, d 1.601, rel. 24